# 1
Na2TbCl5: theoretical XRD peak list (λ = 1.5418 Å (Cu Kα)), based on DFT lattice parameters and positions (PBE).

Most intense lines, 2θ = 10–90°, sorted by position:
| 2theta | I_rel |
| --- | --- |
| 13.52 | 100.0 |
| 14.62 | 50.3 |
| 15.61 | 28.7 |
| 21.44 | 48.0 |
| 25.42 | 32.9 |
| 26.04 | 25.1 |
| 34.91 | 34.7 |
| 36.74 | 32.0 |
| 39.29 | 38.8 |
| 44.86 | 29.5 |

Structure:
Lattice parameters (Å, degrees): 12.117 8.293 7.787 90.00 90.00 90.00
Atoms (fractional coordinates):
Na1 0.177 0.006 0.017
Na2 0.177 0.494 0.017
Na3 0.323 0.506 0.517
Na4 0.323 0.994 0.517
Na5 0.677 0.006 0.483
Na6 0.677 0.494 0.483
Na7 0.823 0.506 0.983
Na8 0.823 0.994 0.983
Tb1 0.008 0.750 0.582
Tb2 0.492 0.250 0.082
Tb3 0.508 0.750 0.918
Tb4 0.992 0.250 0.418
Cl1 0.013 0.750 0.936
Cl2 0.088 0.045 0.659
Cl3 0.088 0.455 0.659
Cl4 0.180 0.750 0.364
Cl5 0.206 0.250 0.315
Cl6 0.294 0.750 0.815
Cl7 0.320 0.250 0.864
Cl8 0.412 0.545 0.159
Cl9 0.412 0.955 0.159
Cl10 0.487 0.250 0.436
Cl11 0.513 0.750 0.564
Cl12 0.588 0.045 0.841
Cl13 0.588 0.455 0.841
Cl14 0.680 0.750 0.136
Cl15 0.706 0.250 0.185
Cl16 0.794 0.750 0.685
Cl17 0.820 0.250 0.636
Cl18 0.912 0.545 0.341
Cl19 0.912 0.955 0.341
Cl20 0.987 0.250 0.064

---

# 2
NaTc2Cl8: theoretical XRD peak list (λ = 1.5418 Å (Cu Kα)), based on DFT lattice parameters and positions (PBE).

Most intense lines, 2θ = 10–90°, sorted by position:
| 2theta | I_rel |
| --- | --- |
| 11.63 | 25.6 |
| 11.97 | 100.0 |
| 20.60 | 56.9 |
| 20.71 | 15.5 |
| 20.87 | 14.4 |
| 21.01 | 20.1 |
| 31.23 | 14.0 |
| 32.30 | 17.6 |
| 34.26 | 21.8 |
| 35.39 | 17.5 |

Structure:
Lattice parameters (Å, degrees): 5.235 8.457 8.695 61.06 89.56 89.44
Atoms (fractional coordinates):
Na1 0.000 0.000 0.000
Tc1 0.250 0.405 0.187
Tc2 0.750 0.595 0.813
Cl1 0.246 0.575 0.852
Cl2 0.249 0.255 0.484
Cl3 0.260 0.682 0.187
Cl4 0.268 0.132 0.181
Cl5 0.732 0.868 0.819
Cl6 0.740 0.318 0.813
Cl7 0.751 0.745 0.516
Cl8 0.754 0.425 0.148

---

# 3
Na2TcCl5: theoretical XRD peak list (λ = 1.5418 Å (Cu Kα)), based on DFT lattice parameters and positions (PBE).

Most intense lines, 2θ = 10–90°, sorted by position:
| 2theta | I_rel |
| --- | --- |
| 13.20 | 76.4 |
| 13.97 | 43.2 |
| 14.94 | 58.8 |
| 18.24 | 59.7 |
| 19.55 | 100.0 |
| 24.90 | 59.9 |
| 34.13 | 92.8 |
| 34.38 | 61.5 |
| 38.86 | 32.9 |
| 49.22 | 59.6 |

Structure:
Lattice parameters (Å, degrees): 7.197 7.197 12.682 90.00 90.00 137.49
Atoms (fractional coordinates):
Na1 0.152 0.848 0.575
Na2 0.152 0.848 0.925
Na3 0.848 0.152 0.075
Na4 0.848 0.152 0.425
Tc1 0.182 0.818 0.250
Tc2 0.818 0.182 0.750
Cl1 0.057 0.943 0.119
Cl2 0.057 0.943 0.381
Cl3 0.304 0.696 0.750
Cl4 0.307 0.693 0.111
Cl5 0.307 0.693 0.389
Cl6 0.693 0.307 0.611
Cl7 0.693 0.307 0.889
Cl8 0.696 0.304 0.250
Cl9 0.943 0.057 0.619
Cl10 0.943 0.057 0.881